For CeHoBiO2, the GGA-PBE geometry in Alexandria gives the calculated powder XRD pattern in this record (λ = 1.5418 Å (Cu Kα)).

Largest 6 diffraction maxima, in order of falling intensity, 5 to 70 degrees two-theta:
2θ (°)	Rel. int.	hkl
30.4	1000	1 0 3
32.0	382	1 1 0
56.1	364	2 1 3
53.0	237	1 1 6
45.9	184	2 0 0
63.3	122	2 0 6

Atomic structure:
a b c (Å): 3.9551 3.9551 13.1725
angles (deg): 90.00 90.00 90.00
Space group I4mm (No. 107)
Unique sites:
Ce 0.0000 0.0000 0.0000 [2 per cell]
Ho 0.0000 0.0000 0.6738 [2 per cell]
Bi 0.0000 0.0000 0.3364 [2 per cell]
O 0.0000 0.5000 0.0908 [4 per cell]